[1]
For Dy5Zr3Ni16As12, a structure optimized by DFT (GGA-PBE) gives the calculated powder XRD pattern in this record (Cu Kα (weighted mean of Kα1 and Kα2)).
Peak positions follow from Bragg's law for the DFT cell and can differ from measured ones.

Largest 8 diffraction maxima, in order of rising 2θ, 10° ≤ 2θ ≤ 90°:
2θ = 33.51°, intensity 27
2θ = 36.45°, intensity 100
2θ = 37.40°, intensity 79
2θ = 45.88°, intensity 13
2θ = 46.52°, intensity 36
2θ = 49.68°, intensity 33
2θ = 55.97°, intensity 22
2θ = 70.42°, intensity 22

```
Dy5Zr3Ni16As12
1.0
12.715 0.000 0.000
-6.358 11.012 0.000
0.000 0.000 3.904
Dy Zr Ni As
5 3 16 12
direct
0.000 0.183 0.000 Dy
0.183 0.000 0.000 Dy
0.333 0.667 0.500 Dy
0.667 0.333 0.500 Dy
0.817 0.817 0.000 Dy
0.000 0.562 0.500 Zr
0.438 0.438 0.500 Zr
0.562 0.000 0.500 Zr
0.000 0.000 0.500 Ni
0.000 0.723 0.000 Ni
0.121 0.482 0.000 Ni
0.183 0.807 0.500 Ni
0.193 0.375 0.500 Ni
0.277 0.277 0.000 Ni
0.361 0.879 0.000 Ni
0.375 0.193 0.500 Ni
0.482 0.121 0.000 Ni
0.518 0.639 0.000 Ni
0.625 0.817 0.500 Ni
0.639 0.518 0.000 Ni
0.723 0.000 0.000 Ni
0.807 0.183 0.500 Ni
0.817 0.625 0.500 Ni
0.879 0.361 0.000 Ni
0.000 0.355 0.500 As
0.000 0.822 0.500 As
0.172 0.693 0.000 As
0.178 0.178 0.500 As
0.307 0.480 0.000 As
0.355 0.000 0.500 As
0.480 0.307 0.000 As
0.520 0.828 0.000 As
0.645 0.645 0.500 As
0.693 0.172 0.000 As
0.822 0.000 0.500 As
0.828 0.520 0.000 As
```

***

[2]
For DyAs2O2, a structure optimized by DFT (GGA-PBE) gives the calculated powder XRD pattern in this record (Cu Kα (weighted mean of Kα1 and Kα2)).
Peak positions follow from Bragg's law for the DFT cell and can differ from measured ones.

Largest 8 diffraction maxima, in order of rising 2θ, 10° ≤ 2θ ≤ 90°:
2θ = 10.37°, intensity 100
2θ = 21.11°, intensity 17
2θ = 23.07°, intensity 12
2θ = 26.05°, intensity 11
2θ = 30.27°, intensity 17
2θ = 34.55°, intensity 12
2θ = 39.23°, intensity 21
2θ = 55.14°, intensity 9

```
DyAs2O2
1.0
-5.451 5.451 6.842
5.451 -5.451 6.842
5.451 5.451 -6.842
Dy As O
4 8 8
direct
0.000 0.000 0.000 Dy
0.000 0.000 0.500 Dy
0.000 0.500 0.000 Dy
0.500 0.000 0.500 Dy
0.105 0.737 0.368 As
0.131 0.263 0.868 As
0.263 0.131 0.368 As
0.263 0.895 0.132 As
0.737 0.105 0.868 As
0.737 0.869 0.632 As
0.869 0.737 0.132 As
0.895 0.263 0.632 As
0.095 0.149 0.946 O
0.149 0.095 0.446 O
0.149 0.704 0.054 O
0.296 0.851 0.446 O
0.704 0.149 0.554 O
0.851 0.296 0.946 O
0.851 0.905 0.554 O
0.905 0.851 0.054 O
```

***

[3]
For DyAsPd, a structure optimized by DFT (GGA-PBE) gives the calculated powder XRD pattern in this record (Cu Kα (weighted mean of Kα1 and Kα2)).
Peak positions follow from Bragg's law for the DFT cell and can differ from measured ones.

Largest 8 diffraction maxima, in order of rising 2θ, 10° ≤ 2θ ≤ 90°:
2θ = 33.34°, intensity 38
2θ = 33.69°, intensity 64
2θ = 33.97°, intensity 24
2θ = 35.25°, intensity 100
2θ = 36.17°, intensity 31
2θ = 40.35°, intensity 45
2θ = 43.63°, intensity 40
2θ = 65.44°, intensity 22

```
DyAsPd
1.0
7.053 0.000 0.000
0.000 4.149 0.000
0.000 0.000 7.959
Dy As Pd
4 4 4
direct
0.030 0.250 0.191 Dy
0.470 0.750 0.691 Dy
0.530 0.250 0.309 Dy
0.970 0.750 0.809 Dy
0.250 0.250 0.880 As
0.250 0.750 0.380 As
0.750 0.250 0.620 As
0.750 0.750 0.120 As
0.145 0.250 0.563 Pd
0.355 0.750 0.063 Pd
0.645 0.250 0.937 Pd
0.855 0.750 0.437 Pd
```

***

[4]
For Dy2As7Rh12, a structure optimized by DFT (GGA-PBE) gives the calculated powder XRD pattern in this record (Cu Kα (weighted mean of Kα1 and Kα2)).
Peak positions follow from Bragg's law for the DFT cell and can differ from measured ones.

Largest 8 diffraction maxima, in order of rising 2θ, 10° ≤ 2θ ≤ 90°:
2θ = 35.77°, intensity 100
2θ = 36.01°, intensity 10
2θ = 44.29°, intensity 15
2θ = 46.26°, intensity 19
2θ = 48.27°, intensity 26
2θ = 69.09°, intensity 15
2θ = 78.81°, intensity 10
2θ = 81.81°, intensity 9

```
Dy2As7Rh12
1.0
9.976 0.000 0.000
-4.988 8.639 0.000
0.000 0.000 3.925
Dy As Rh
2 7 12
direct
0.000 0.000 0.000 Dy
0.333 0.667 0.502 Dy
0.074 0.620 0.003 As
0.262 0.045 0.501 As
0.380 0.454 0.003 As
0.546 0.926 0.003 As
0.667 0.333 0.837 As
0.784 0.738 0.501 As
0.955 0.216 0.501 As
0.049 0.782 0.502 Rh
0.115 0.399 0.002 Rh
0.218 0.267 0.502 Rh
0.284 0.885 0.002 Rh
0.398 0.218 0.003 Rh
0.521 0.074 0.502 Rh
0.553 0.479 0.502 Rh
0.601 0.716 0.002 Rh
0.733 0.951 0.502 Rh
0.782 0.180 0.003 Rh
0.820 0.602 0.003 Rh
0.926 0.447 0.502 Rh
```

***

[5]
For DyAsS, a structure optimized by DFT (GGA-PBE) gives the calculated powder XRD pattern in this record (Cu Kα (weighted mean of Kα1 and Kα2)).
Peak positions follow from Bragg's law for the DFT cell and can differ from measured ones.

Largest 8 diffraction maxima, in order of rising 2θ, 10° ≤ 2θ ≤ 90°:
2θ = 25.38°, intensity 46
2θ = 25.48°, intensity 48
2θ = 31.52°, intensity 37
2θ = 32.96°, intensity 19
2θ = 34.65°, intensity 50
2θ = 39.35°, intensity 100
2θ = 47.19°, intensity 19
2θ = 47.43°, intensity 19

```
DyAsS
1.0
3.834 0.000 0.000
0.000 3.852 0.000
0.000 0.000 8.516
Dy As S
2 2 2
direct
0.250 0.250 0.209 Dy
0.750 0.750 0.791 Dy
0.250 0.750 0.497 As
0.750 0.250 0.503 As
0.250 0.250 0.874 S
0.750 0.750 0.126 S
```

***

[6]
For DyAsS, a structure optimized by DFT (GGA-PBE) gives the calculated powder XRD pattern in this record (Cu Kα (weighted mean of Kα1 and Kα2)).
Peak positions follow from Bragg's law for the DFT cell and can differ from measured ones.

Largest 8 diffraction maxima, in order of rising 2θ, 10° ≤ 2θ ≤ 90°:
2θ = 25.38°, intensity 46
2θ = 25.48°, intensity 49
2θ = 31.52°, intensity 38
2θ = 32.96°, intensity 19
2θ = 34.65°, intensity 50
2θ = 39.35°, intensity 100
2θ = 47.43°, intensity 20
2θ = 48.91°, intensity 18

```
DyAsS
1.0
17.032 0.000 0.000
0.000 3.834 0.000
0.000 0.000 3.852
Dy As S
4 4 4
direct
0.146 0.250 0.229 Dy
0.354 0.750 0.729 Dy
0.646 0.250 0.271 Dy
0.854 0.750 0.771 Dy
0.002 0.250 0.719 As
0.498 0.750 0.219 As
0.502 0.250 0.781 As
0.998 0.750 0.281 As
0.187 0.750 0.730 S
0.313 0.250 0.230 S
0.687 0.750 0.770 S
0.813 0.250 0.270 S
```

***

[7]
For DyAsSe, a structure optimized by DFT (GGA-PBE) gives the calculated powder XRD pattern in this record (Cu Kα (weighted mean of Kα1 and Kα2)).
Peak positions follow from Bragg's law for the DFT cell and can differ from measured ones.

Largest 8 diffraction maxima, in order of rising 2θ, 10° ≤ 2θ ≤ 90°:
2θ = 24.76°, intensity 17
2θ = 24.90°, intensity 19
2θ = 30.49°, intensity 25
2θ = 32.24°, intensity 24
2θ = 33.85°, intensity 41
2θ = 38.32°, intensity 100
2θ = 46.07°, intensity 15
2θ = 46.39°, intensity 17

```
DyAsSe
1.0
17.590 0.000 0.000
0.000 3.915 0.000
0.000 0.000 3.940
Dy As Se
4 4 4
direct
0.139 0.250 0.230 Dy
0.361 0.750 0.730 Dy
0.639 0.250 0.270 Dy
0.861 0.750 0.770 Dy
0.002 0.250 0.714 As
0.498 0.750 0.214 As
0.502 0.250 0.786 As
0.998 0.750 0.286 As
0.188 0.750 0.731 Se
0.312 0.250 0.231 Se
0.688 0.750 0.769 Se
0.812 0.250 0.269 Se
```

***

[8]
For DyTeAs, a structure optimized by DFT (GGA-PBE) gives the calculated powder XRD pattern in this record (Cu Kα (weighted mean of Kα1 and Kα2)).
Peak positions follow from Bragg's law for the DFT cell and can differ from measured ones.

Largest 8 diffraction maxima, in order of rising 2θ, 10° ≤ 2θ ≤ 90°:
2θ = 29.41°, intensity 40
2θ = 30.75°, intensity 35
2θ = 32.34°, intensity 56
2θ = 33.61°, intensity 61
2θ = 36.92°, intensity 100
2θ = 40.16°, intensity 54
2θ = 44.50°, intensity 31
2θ = 61.48°, intensity 30

```
DyTeAs
1.0
7.548 0.000 0.000
0.000 4.072 0.000
0.000 0.000 9.951
Dy Te As
4 4 4
direct
0.231 0.250 0.159 Dy
0.269 0.750 0.659 Dy
0.731 0.250 0.341 Dy
0.769 0.750 0.841 Dy
0.086 0.250 0.852 Te
0.414 0.750 0.352 Te
0.586 0.250 0.648 Te
0.914 0.750 0.148 Te
0.097 0.250 0.460 As
0.403 0.750 0.960 As
0.597 0.250 0.040 As
0.903 0.750 0.540 As
```

***

[9]
For Er5Ga2As, a structure optimized by DFT (GGA-PBE) gives the calculated powder XRD pattern in this record (Cu Kα (weighted mean of Kα1 and Kα2)).
Peak positions follow from Bragg's law for the DFT cell and can differ from measured ones.

Largest 8 diffraction maxima, in order of rising 2θ, 10° ≤ 2θ ≤ 90°:
2θ = 30.37°, intensity 35
2θ = 32.39°, intensity 42
2θ = 35.09°, intensity 87
2θ = 35.34°, intensity 100
2θ = 36.87°, intensity 38
2θ = 51.81°, intensity 24
2θ = 54.15°, intensity 29
2θ = 58.03°, intensity 22

```
Er5Ga2As
1.0
6.429 0.000 0.000
0.000 7.308 4.226
0.000 -7.308 4.226
Er Ga As
10 4 2
direct
0.000 0.000 0.000 Er
0.000 0.247 0.488 Er
0.000 0.488 0.247 Er
0.254 0.575 0.909 Er
0.254 0.909 0.575 Er
0.500 0.003 0.243 Er
0.500 0.243 0.003 Er
0.500 0.485 0.485 Er
0.746 0.575 0.909 Er
0.746 0.909 0.575 Er
0.000 0.643 0.643 Ga
0.500 0.242 0.640 Ga
0.500 0.640 0.242 Ga
0.500 0.845 0.845 Ga
0.000 0.244 0.852 As
0.000 0.852 0.244 As
```

***

[10]
For Er6Ni20As13, a structure optimized by DFT (GGA-PBE) gives the calculated powder XRD pattern in this record (Cu Kα (weighted mean of Kα1 and Kα2)).
Peak positions follow from Bragg's law for the DFT cell and can differ from measured ones.

Largest 8 diffraction maxima, in order of rising 2θ, 10° ≤ 2θ ≤ 90°:
2θ = 33.29°, intensity 20
2θ = 36.09°, intensity 32
2θ = 36.98°, intensity 100
2θ = 44.56°, intensity 12
2θ = 47.34°, intensity 30
2θ = 50.34°, intensity 34
2θ = 56.10°, intensity 22
2θ = 71.58°, intensity 23

```
Er6Ni20As13
1.0
13.072 0.000 0.000
-6.536 11.321 0.000
0.000 0.000 3.841
Er Ni As
6 20 13
direct
0.052 0.195 0.000 Er
0.143 0.948 0.000 Er
0.524 0.386 0.500 Er
0.614 0.139 0.500 Er
0.805 0.857 0.000 Er
0.861 0.476 0.500 Er
0.000 0.000 0.500 Ni
0.015 0.417 0.000 Ni
0.088 0.742 0.500 Ni
0.134 0.574 0.500 Ni
0.249 0.508 0.000 Ni
0.258 0.346 0.500 Ni
0.260 0.751 0.000 Ni
0.313 0.232 0.000 Ni
0.353 0.104 0.500 Ni
0.403 0.985 0.000 Ni
0.426 0.560 0.500 Ni
0.440 0.866 0.500 Ni
0.492 0.740 0.000 Ni
0.583 0.597 0.000 Ni
0.654 0.912 0.500 Ni
0.667 0.333 0.000 Ni
0.751 0.647 0.500 Ni
0.768 0.082 0.000 Ni
0.896 0.249 0.500 Ni
0.918 0.687 0.000 Ni
0.051 0.617 0.000 As
0.101 0.382 0.500 As
0.194 0.143 0.500 As
0.281 0.899 0.500 As
0.333 0.667 0.500 As
0.383 0.434 0.000 As
0.471 0.192 0.000 As
0.566 0.949 0.000 As
0.618 0.719 0.500 As
0.721 0.529 0.000 As
0.808 0.279 0.000 As
0.857 0.052 0.500 As
0.948 0.806 0.500 As
```

***

[11]
For ErNiAs, a structure optimized by DFT (GGA-PBE) gives the calculated powder XRD pattern in this record (Cu Kα (weighted mean of Kα1 and Kα2)).
Peak positions follow from Bragg's law for the DFT cell and can differ from measured ones.

Largest 8 diffraction maxima, in order of rising 2θ, 10° ≤ 2θ ≤ 90°:
2θ = 25.47°, intensity 17
2θ = 34.69°, intensity 100
2θ = 44.89°, intensity 41
2θ = 47.33°, intensity 12
2θ = 57.95°, intensity 23
2θ = 67.28°, intensity 24
2θ = 76.16°, intensity 20
2θ = 79.76°, intensity 9

```
ErNiAs
1.0
4.038 0.000 0.000
-2.019 3.497 0.000
0.000 0.000 3.841
Er Ni As
1 1 1
direct
0.000 0.000 0.000 Er
0.333 0.667 0.500 Ni
0.667 0.333 0.500 As
```